Computed PXRD pattern of Cs3Re2Cl10O for Cu Kα X-rays, from a structure optimized by DFT (PBE).
Neutral-atom scattering factors, no anomalous dispersion.

Principal peaks in the range 10° ≤ 2θ ≤ 80°, by angle:
hkl, d/Å, 2theta, Rel. int.
1 0 1, 7.001, 12.64, 71
1 1 0, 5.378, 16.48, 44
1 0 3, 4.697, 18.89, 46
1 1 2, 4.611, 19.25, 100
2 0 0, 3.803, 23.39, 53
1 1 4, 3.442, 25.89, 34
1 0 5, 3.241, 27.52, 55
2 2 0, 2.689, 33.32, 81
2 1 5, 2.467, 36.42, 35
3 1 2, 2.323, 38.77, 33

Structural model:
```
data_Cs3Re2Cl10O
_cell_length_a 7.6057
_cell_length_b 7.6057
_cell_length_c 17.9157
_cell_angle_alpha 90.00
_cell_angle_beta 90.00
_cell_angle_gamma 90.00
_symmetry_space_group_name_H-M 'I 4/m m m'
_symmetry_Int_Tables_number 139
_symmetry_space_group_name_Hall '-I 4 2'
loop_
_atom_site_label
_atom_site_fract_x
_atom_site_fract_y
_atom_site_fract_z
Cs1 0.0000 0.0000 0.0000
Cs2 0.0000 0.5000 0.2500
Re1 0.0000 0.0000 0.3971
Cl1 0.0000 0.0000 0.2627
Cl2 0.2206 0.2206 0.3904
O1 0.0000 0.0000 0.5000
```

---

Computed PXRD pattern of DyBeSi2Ni4 for Cu Kα X-rays, from a structure optimized by DFT (PBE).
Neutral-atom scattering factors, no anomalous dispersion.

Principal peaks in the range 10° ≤ 2θ ≤ 80°, by angle:
hkl, d/Å, 2theta, Rel. int.
1 0 1, 3.324, 26.82, 34
0 1 2, 3.232, 27.60, 39
0 1 5, 2.748, 32.59, 72
1 0 7, 2.394, 37.56, 98
0 1 8, 2.233, 40.40, 57
1 1 0, 1.938, 46.88, 100
0 2 7, 1.506, 61.56, 22
2 0 8, 1.463, 63.58, 14
1 1 12, 1.389, 67.40, 17
1 1 15, 1.231, 77.53, 16

Structural model:
```
data_DyBeSi2Ni4
_cell_length_a 3.8758
_cell_length_b 3.8758
_cell_length_c 23.9179
_cell_angle_alpha 90.00
_cell_angle_beta 90.00
_cell_angle_gamma 120.00
_symmetry_space_group_name_H-M 'R -3 m'
_symmetry_Int_Tables_number 166
_symmetry_space_group_name_Hall '-R 3 2"'
loop_
_atom_site_label
_atom_site_fract_x
_atom_site_fract_y
_atom_site_fract_z
Dy1 0.0000 0.0000 0.0000
Be1 0.0000 0.0000 0.5000
Si1 0.0000 0.0000 0.2385
Ni1 0.0000 0.0000 0.1369
Ni2 0.0000 0.0000 0.4108
```

---

Computed PXRD pattern of Na2YCl5 for Cu Kα X-rays, from a structure optimized by DFT (PBE).
Neutral-atom scattering factors, no anomalous dispersion.

Principal peaks in the range 10° ≤ 2θ ≤ 80°, by angle:
hkl, d/Å, 2theta, Rel. int.
1 0 1, 6.545, 13.53, 100
2 0 0, 6.054, 14.63, 47
0 2 0, 4.140, 21.46, 48
4 0 1, 2.821, 31.72, 37
1 2 2, 2.760, 32.43, 41
2 2 2, 2.568, 34.95, 67
4 2 0, 2.444, 36.78, 52
2 1 3, 2.291, 39.33, 54
0 4 0, 2.070, 43.72, 42
5 2 1, 2.019, 44.90, 44

Structural model:
```
data_Na2YCl5
_cell_length_a 12.1088
_cell_length_b 8.2821
_cell_length_c 7.7794
_cell_angle_alpha 90.00
_cell_angle_beta 90.00
_cell_angle_gamma 90.00
_symmetry_space_group_name_H-M 'P n m a'
_symmetry_Int_Tables_number 62
_symmetry_space_group_name_Hall '-P 2ac 2n'
loop_
_atom_site_label
_atom_site_fract_x
_atom_site_fract_y
_atom_site_fract_z
Na1 0.1765 0.0059 0.0185
Y1 0.0074 0.7500 0.5817
Cl1 0.0131 0.7500 0.9356
Cl2 0.0871 0.0450 0.6598
Cl3 0.1805 0.7500 0.3648
Cl4 0.2060 0.2500 0.3155
```

---

Computed PXRD pattern of Tm2CI2 for Cu Kα X-rays, from a structure optimized by DFT (PBE).
Neutral-atom scattering factors, no anomalous dispersion.

Principal peaks in the range 10° ≤ 2θ ≤ 80°, by angle:
hkl, d/Å, 2theta, Rel. int.
0 0 2, 5.839, 15.17, 20
2 0 -1, 3.290, 27.11, 76
2 0 -3, 2.789, 32.10, 50
1 1 2, 2.742, 32.65, 100
1 1 -3, 2.653, 33.78, 63
2 0 2, 2.607, 34.40, 29
0 0 5, 2.336, 38.54, 32
1 1 -5, 2.007, 45.18, 25
0 2 0, 1.908, 47.67, 58
2 2 -3, 1.575, 58.62, 18

Structural model:
```
data_Tm2CI2
_cell_length_a 6.6091
_cell_length_b 3.8161
_cell_length_c 11.9405
_cell_angle_alpha 90.00
_cell_angle_beta 102.02
_cell_angle_gamma 90.00
_symmetry_space_group_name_H-M 'C 1 2/m 1'
_symmetry_Int_Tables_number 12
_symmetry_space_group_name_Hall '-C 2y'
loop_
_atom_site_label
_atom_site_fract_x
_atom_site_fract_y
_atom_site_fract_z
Tm1 0.2079 0.0000 0.1094
C1 0.0000 0.5000 0.0000
I1 0.0563 0.0000 0.7068
```

---

Computed PXRD pattern of KSb4S6 for Cu Kα X-rays, from a structure optimized by DFT (PBE).
Neutral-atom scattering factors, no anomalous dispersion.

Principal peaks in the range 10° ≤ 2θ ≤ 80°, by angle:
hkl, d/Å, 2theta, Rel. int.
1 0 0, 7.300, 12.12, 26
2 0 0, 3.658, 24.33, 100
1 1 1, 2.988, 29.91, 35
2 0 1, 2.762, 32.41, 78
2 1 1, 2.312, 38.96, 57
0 0 2, 2.118, 42.69, 22
3 0 1, 2.109, 42.88, 81
2 1 2, 1.680, 54.63, 16
2 2 2, 1.494, 62.14, 17
5 0 1, 1.380, 67.90, 15

Structural model:
```
data_KSb4S6
_cell_length_a 8.4298
_cell_length_b 8.4298
_cell_length_c 4.2359
_cell_angle_alpha 90.00
_cell_angle_beta 90.00
_cell_angle_gamma 120.00
_symmetry_space_group_name_H-M 'P -6 m 2'
_symmetry_Int_Tables_number 187
_symmetry_space_group_name_Hall 'P -6 2'
loop_
_atom_site_label
_atom_site_fract_x
_atom_site_fract_y
_atom_site_fract_z
K1 0.0000 0.0000 0.0000
Sb1 0.3333 0.6667 0.0000
Sb2 0.4123 0.2062 0.5000
S1 0.1694 0.3388 0.5000
S2 0.5280 0.0559 0.0000
```

---

Computed PXRD pattern of PmFe9Ge4 for Cu Kα X-rays, from a structure optimized by DFT (PBE).
Neutral-atom scattering factors, no anomalous dispersion.

Principal peaks in the range 10° ≤ 2θ ≤ 80°, by angle:
hkl, d/Å, 2theta, Rel. int.
1 1 4, 2.627, 34.14, 37
2 2 2, 2.568, 34.93, 30
3 1 0, 2.550, 35.20, 29
2 0 4, 2.386, 37.71, 66
3 1 2, 2.342, 38.44, 100
2 1 5, 1.979, 45.85, 45
3 2 3, 1.946, 46.69, 61
4 1 1, 1.930, 47.09, 72
4 0 4, 1.666, 55.13, 19
4 1 7, 1.279, 74.12, 17

Structural model:
```
data_PmFe9Ge4
_cell_length_a 8.0632
_cell_length_b 8.0632
_cell_length_c 11.8371
_cell_angle_alpha 90.00
_cell_angle_beta 90.00
_cell_angle_gamma 90.00
_symmetry_space_group_name_H-M 'I 4/m c m'
_symmetry_Int_Tables_number 140
_symmetry_space_group_name_Hall '-I 4 2c'
loop_
_atom_site_label
_atom_site_fract_x
_atom_site_fract_y
_atom_site_fract_z
Pm1 0.0000 0.0000 0.2500
Fe1 0.0000 0.5000 0.0000
Fe2 0.0630 0.2004 0.0000
Fe3 0.1127 0.3873 0.1752
Ge1 0.1815 0.3185 0.3726
```

---

Computed PXRD pattern of Ac2SnAu10 for Cu Kα X-rays, from a structure optimized by DFT (PBE).
Neutral-atom scattering factors, no anomalous dispersion.

Principal peaks in the range 10° ≤ 2θ ≤ 80°, by angle:
hkl, d/Å, 2theta, Rel. int.
2 1 1, 3.068, 29.10, 27
1 1 4, 2.770, 32.32, 26
1 3 -1, 2.752, 32.54, 41
0 1 4, 2.691, 33.30, 35
1 3 2, 2.637, 33.99, 51
1 -1 4, 2.607, 34.40, 100
1 -2 3, 2.553, 35.15, 34
-1 2 2, 2.515, 35.71, 39
0 3 2, 2.476, 36.29, 52
2 -2 0, 2.101, 43.04, 29

Structural model:
```
data_Ac2SnAu10
_cell_length_a 6.1568
_cell_length_b 8.8013
_cell_length_c 11.8121
_cell_angle_alpha 88.96
_cell_angle_beta 77.83
_cell_angle_gamma 73.01
_symmetry_space_group_name_H-M 'P -1'
_symmetry_Int_Tables_number 2
_symmetry_space_group_name_Hall '-P 1'
loop_
_atom_site_label
_atom_site_fract_x
_atom_site_fract_y
_atom_site_fract_z
Ac1 0.0880 0.2314 0.0731
Ac2 0.1624 0.7418 0.4057
Sn1 0.5000 0.0000 0.5000
Sn2 0.5000 0.5000 0.0000
Au1 0.0571 0.5856 0.6523
Au2 0.0984 0.6238 0.1551
Au3 0.2188 0.8595 0.6657
Au4 0.2498 0.0799 0.3192
Au5 0.3007 0.1583 0.7182
Au6 0.3270 0.4327 0.8170
Au7 0.3451 0.8587 0.1206
Au8 0.3454 0.9311 0.8909
Au9 0.3460 0.3523 0.4924
Au10 0.4183 0.3567 0.2448
```

---

Computed PXRD pattern of Zn2OsN3 for Cu Kα X-rays, from a structure optimized by DFT (PBE).
Neutral-atom scattering factors, no anomalous dispersion.

Principal peaks in the range 10° ≤ 2θ ≤ 80°, by angle:
hkl, d/Å, 2theta, Rel. int.
2 0 0, 4.990, 17.78, 29
1 1 1, 3.621, 24.58, 42
3 1 0, 2.862, 31.25, 52
0 0 2, 2.693, 33.27, 55
3 1 1, 2.527, 35.52, 100
0 2 1, 2.490, 36.08, 74
3 1 2, 1.961, 46.30, 29
3 3 0, 1.631, 56.42, 26
3 1 3, 1.520, 60.94, 32
3 3 2, 1.395, 67.10, 26

Structural model:
```
data_Zn2OsN3
_cell_length_a 9.9797
_cell_length_b 5.6138
_cell_length_c 5.3852
_cell_angle_alpha 90.00
_cell_angle_beta 90.00
_cell_angle_gamma 90.00
_symmetry_space_group_name_H-M 'C m c 21'
_symmetry_Int_Tables_number 36
_symmetry_space_group_name_Hall 'C 2c -2'
loop_
_atom_site_label
_atom_site_fract_x
_atom_site_fract_y
_atom_site_fract_z
Zn1 0.1691 0.1511 0.0000
Os1 0.0000 0.3482 0.4798
N1 0.0000 0.3337 0.8423
N2 0.1592 0.1914 0.3769
```

---

Computed PXRD pattern of RbNbS4 for Cu Kα X-rays, from a structure optimized by DFT (PBE).
Neutral-atom scattering factors, no anomalous dispersion.

Principal peaks in the range 10° ≤ 2θ ≤ 80°, by angle:
hkl, d/Å, 2theta, Rel. int.
0 2 0, 7.351, 12.04, 24
1 1 0, 7.063, 12.53, 41
0 2 1, 4.892, 18.13, 100
1 3 0, 4.187, 21.22, 20
2 0 0, 4.026, 22.08, 26
2 2 -1, 3.135, 28.47, 20
2 2 1, 3.083, 28.96, 37
1 5 1, 2.538, 35.36, 23
2 0 2, 2.514, 35.72, 23
2 2 -2, 2.426, 37.05, 15

Structural model:
```
data_RbNbS4
_cell_length_a 8.0546
_cell_length_b 14.7029
_cell_length_c 6.5548
_cell_angle_alpha 90.00
_cell_angle_beta 91.30
_cell_angle_gamma 90.00
_symmetry_space_group_name_H-M 'C 1 2/c 1'
_symmetry_Int_Tables_number 15
_symmetry_space_group_name_Hall '-C 2yc'
loop_
_atom_site_label
_atom_site_fract_x
_atom_site_fract_y
_atom_site_fract_z
Rb1 0.0000 0.1359 0.2500
Nb1 0.0000 0.4459 0.7500
S1 0.0828 0.2976 0.6315
S2 0.2047 0.4905 0.4707
```

---

Computed PXRD pattern of Ho2Al9Ag for Cu Kα X-rays, from a structure optimized by DFT (PBE).
Neutral-atom scattering factors, no anomalous dispersion.

Principal peaks in the range 10° ≤ 2θ ≤ 80°, by angle:
hkl, d/Å, 2theta, Rel. int.
1 0 0, 4.220, 21.05, 58
0 0 3, 4.150, 21.41, 28
1 1 0, 2.984, 29.94, 25
1 0 3, 2.959, 30.20, 48
1 1 3, 2.423, 37.11, 100
2 0 0, 2.110, 42.86, 34
0 0 6, 2.075, 43.62, 15
2 1 3, 1.718, 53.32, 19
2 0 6, 1.480, 62.81, 20
3 1 3, 1.270, 74.72, 25

Structural model:
```
data_Ho2Al9Ag
_cell_length_a 4.2203
_cell_length_b 4.2203
_cell_length_c 12.4500
_cell_angle_alpha 90.00
_cell_angle_beta 90.00
_cell_angle_gamma 90.00
_symmetry_space_group_name_H-M 'P 4/m m m'
_symmetry_Int_Tables_number 123
_symmetry_space_group_name_Hall '-P 4 2'
loop_
_atom_site_label
_atom_site_fract_x
_atom_site_fract_y
_atom_site_fract_z
Ho1 0.0000 0.0000 0.1723
Al1 0.0000 0.5000 0.0000
Al2 0.0000 0.5000 0.3472
Al3 0.5000 0.5000 0.1685
Al4 0.5000 0.5000 0.5000
Ag1 0.0000 0.0000 0.5000
```

---

Computed PXRD pattern of VCd for Cu Kα X-rays, from a structure optimized by DFT (PBE).
Neutral-atom scattering factors, no anomalous dispersion.

Principal peaks in the range 10° ≤ 2θ ≤ 80°, by angle:
hkl, d/Å, 2theta, Rel. int.
3 1 0, 3.097, 28.82, 33
1 0 1, 2.922, 30.59, 27
4 0 0, 2.449, 36.70, 19
3 3 0, 2.309, 39.02, 51
3 0 1, 2.233, 40.39, 100
4 3 1, 1.650, 55.70, 22
6 0 0, 1.632, 56.36, 14
0 0 2, 1.531, 60.47, 8
6 3 1, 1.318, 71.60, 24
3 3 2, 1.276, 74.35, 14

Structural model:
```
data_VCd
_cell_length_a 9.7946
_cell_length_b 9.7946
_cell_length_c 3.0619
_cell_angle_alpha 90.00
_cell_angle_beta 90.00
_cell_angle_gamma 90.00
_symmetry_space_group_name_H-M 'I 4/m m m'
_symmetry_Int_Tables_number 139
_symmetry_space_group_name_Hall '-I 4 2'
loop_
_atom_site_label
_atom_site_fract_x
_atom_site_fract_y
_atom_site_fract_z
V1 0.0000 0.3606 0.0000
Cd1 0.1541 0.1541 0.5000
```

---

Computed PXRD pattern of CaMg4Cu8 for Cu Kα X-rays, from a structure optimized by DFT (PBE).
Neutral-atom scattering factors, no anomalous dispersion.

Principal peaks in the range 10° ≤ 2θ ≤ 80°, by angle:
hkl, d/Å, 2theta, Rel. int.
1 0 1, 4.666, 19.02, 16
0 0 2, 2.757, 32.47, 47
3 0 1, 2.579, 34.79, 40
2 0 2, 2.333, 38.59, 35
3 2 1, 2.222, 40.61, 100
4 0 0, 2.188, 41.26, 29
2 2 2, 2.059, 43.98, 45
4 1 1, 1.981, 45.81, 50
4 2 0, 1.957, 46.40, 18
3 2 3, 1.465, 63.48, 24

Structural model:
```
data_CaMg4Cu8
_cell_length_a 8.7514
_cell_length_b 8.7514
_cell_length_c 5.5149
_cell_angle_alpha 90.00
_cell_angle_beta 90.00
_cell_angle_gamma 90.00
_symmetry_space_group_name_H-M 'I 4/m m m'
_symmetry_Int_Tables_number 139
_symmetry_space_group_name_Hall '-I 4 2'
loop_
_atom_site_label
_atom_site_fract_x
_atom_site_fract_y
_atom_site_fract_z
Ca1 0.0000 0.0000 0.0000
Mg1 0.2500 0.2500 0.2500
Cu1 0.0000 0.2152 0.5000
Cu2 0.0000 0.3602 0.0000
```